AcMg3: theoretical powder diffraction line list (Cu Ka), based on DFT lattice parameters and positions (PBE).
Kinematic intensities with the Lorentz-polarization factor, no thermal factor.

Cell and atoms:
Cell: 7.1746 7.1746 5.3293 Å, 90.00 90.00 120.00°
Space group P6_3/mmc (No. 194)
Inequivalent atoms, fractional coordinates:
Ac (0.3333, 0.6667, 0.2500)
Mg (0.1536, 0.3072, 0.7500)

Most intense lines, 10 to 80 degrees two-theta, in order of rising 2θ:
(1 0 0), 14.3°, d 6.213, intensity 35; (1 0 1), 22.0°, d 4.045, intensity 100; (1 1 0), 24.8°, d 3.587, intensity 48; (2 0 0), 28.7°, d 3.107, intensity 19; (2 0 1), 33.4°, d 2.684, intensity 79; (0 0 2), 33.6°, d 2.665, intensity 17; (2 1 1), 42.0°, d 2.149, intensity 34; (1 1 2), 42.2°, d 2.139, intensity 25; (3 1 1), 56.1°, d 1.640, intensity 18; (2 2 2), 62.4°, d 1.488, intensity 17